Record 1
Tl2ZnPbCl6: computed X-ray diffraction stick pattern (Cu Kα (weighted mean of Kα1 and Kα2)), based on a GGA-PBE-relaxed structure.

Peak list (6 most intense, 2θ = 10–90°, low angle first)
| d [Å] | I/Imax |
| --- | --- |
| 3.784 | 100 |
| 3.669 | 58 |
| 3.658 | 29 |
| 2.635 | 47 |
| 2.629 | 23 |
| 2.159 | 32 |

Structural model:
a b c (Å): 7.323 7.337 7.356
angles (deg): 62.04 62.19 62.03
Space group P-1 (No. 2)
Asymmetric unit:
Tl1 0.232 0.234 0.230
Zn1 0.000 0.000 0.000
Pb1 0.500 0.500 0.500
Cl1 0.157 0.780 0.305
Cl2 0.222 0.697 0.840
Cl3 0.304 0.159 0.786



Record 2
Ga2GeIr: computed X-ray diffraction stick pattern (Cu Kα (weighted mean of Kα1 and Kα2)), based on a GGA-PBE-relaxed structure.

Peak list (6 most intense, 2θ = 10–90°, low angle first)
| d [Å] | I/Imax |
| --- | --- |
| 4.361 | 59 |
| 3.091 | 69 |
| 2.624 | 100 |
| 2.187 | 55 |
| 2.180 | 55 |
| 2.168 | 87 |

Structural model:
a b c (Å): 3.581 8.599 4.709
angles (deg): 90.00 112.15 90.00
Space group P2_1/m (No. 11)
Asymmetric unit:
Ga1 0.137 0.040 0.274
Ge1 0.427 0.250 0.857
Ir1 0.279 0.750 0.558



Record 3
Tb5Sb4S: computed X-ray diffraction stick pattern (Cu Kα (weighted mean of Kα1 and Kα2)), based on a GGA-PBE-relaxed structure.

Peak list (6 most intense, 2θ = 10–90°, low angle first)
| d [Å] | I/Imax |
| --- | --- |
| 3.068 | 51 |
| 3.048 | 100 |
| 2.162 | 76 |
| 2.155 | 36 |
| 1.763 | 39 |
| 1.246 | 23 |

Structural model:
a b c (Å): 9.638 9.638 6.136
angles (deg): 90.00 90.00 90.00
Space group I4 (No. 79)
Asymmetric unit:
Tb1 0.000 0.000 0.000
Tb2 0.099 0.713 0.501
Sb1 0.095 0.698 0.001
S1 0.000 0.000 0.501



Record 4
NaSr4Pb12: computed X-ray diffraction stick pattern (Cu Kα (weighted mean of Kα1 and Kα2)), based on a GGA-PBE-relaxed structure.

Peak list (6 most intense, 2θ = 10–90°, low angle first)
| d [Å] | I/Imax |
| --- | --- |
| 5.172 | 12 |
| 2.986 | 100 |
| 2.586 | 52 |
| 1.829 | 32 |
| 1.559 | 34 |
| 1.156 | 10 |

Structural model:
a b c (Å): 10.344 10.344 10.344
angles (deg): 90.00 90.00 90.00
Space group Im-3m (No. 229)
Asymmetric unit:
Na1 0.000 0.000 0.000
Sr1 0.250 0.250 0.250
Pb1 0.000 0.000 0.292
Pb2 0.000 0.250 0.500



Record 5
LiAc3Sn6Pd2: computed X-ray diffraction stick pattern (Cu Kα (weighted mean of Kα1 and Kα2)), based on a GGA-PBE-relaxed structure.

Peak list (6 most intense, 2θ = 10–90°, low angle first)
| d [Å] | I/Imax |
| --- | --- |
| 3.429 | 47 |
| 2.837 | 41 |
| 2.804 | 100 |
| 2.436 | 75 |
| 1.715 | 33 |
| 1.468 | 29 |

Structural model:
a b c (Å): 6.8590 6.8590 8.5115
angles (deg): 90.00 90.00 120.00
Space group P-3m1 (No. 164)
Asymmetric unit:
Li1 0.0000 0.0000 0.0000
Ac1 0.0000 0.0000 0.5000
Ac2 0.3333 0.6667 0.1645
Sn1 0.1863 0.3725 0.8000
Pd1 0.3333 0.6667 0.5469



Record 6
Ca2ThRh9: computed X-ray diffraction stick pattern (Cu Kα (weighted mean of Kα1 and Kα2)), based on a GGA-PBE-relaxed structure.

Peak list (6 most intense, 2θ = 10–90°, low angle first)
| d [Å] | I/Imax |
| --- | --- |
| 8.821 | 47 |
| 2.282 | 30 |
| 2.268 | 100 |
| 2.205 | 31 |
| 1.443 | 23 |
| 1.134 | 22 |

Structural model:
a b c (Å): 5.2894 5.2894 26.4633
angles (deg): 90.00 90.00 120.00
Space group R-3m (No. 166, hexagonal axes)
Asymmetric unit:
Ca1 0.0000 0.0000 0.1416
Th1 0.0000 0.0000 0.0000
Rh1 0.0000 0.0000 0.3329
Rh2 0.0000 0.0000 0.5000
Rh3 0.0013 0.5007 0.0820